# 1
Calculated powder diffractogram
Compound: NdY2MgAu4
Radiation: copper Kα
Structure: a PBE-relaxed structure

Peak list (12 most intense, 2θ from 15° to 90°, most intense first)
hkl 1 1 0, d = 2.515 Å, 35.7 deg, intensity 100.0
hkl 0 1 8, d = 2.549 Å, 35.2 deg, intensity 94.7
hkl 1 0 4, d = 3.581 Å, 24.9 deg, intensity 34.7
hkl 1 2 8, d = 1.459 Å, 63.8 deg, intensity 33.9
hkl 2 0 8, d = 1.790 Å, 51.0 deg, intensity 33.2
hkl 3 0 0, d = 1.452 Å, 64.1 deg, intensity 18.3
hkl 3 1 8, d = 1.128 Å, 86.2 deg, intensity 15.4
hkl 1 0 16, d = 1.478 Å, 62.9 deg, intensity 13.3
hkl 2 1 16, d = 1.137 Å, 85.4 deg, intensity 11.8
hkl 2 2 0, d = 1.258 Å, 75.6 deg, intensity 11.4
hkl 0 2 4, d = 2.058 Å, 44.0 deg, intensity 8.3
hkl 0 2 16, d = 1.275 Å, 74.4 deg, intensity 8.2

Structural model:
```
data_NdY2MgAu4
_chemical_formula_sum 'Nd3 Y6 Mg3 Au12'
_cell_length_a 5.0307
_cell_length_b 5.0307
_cell_length_c 25.1479
_cell_angle_alpha 90.00
_cell_angle_beta 90.00
_cell_angle_gamma 120.00
_space_group_name_H-M_alt 'R -3 m'
_space_group_IT_number 166
_space_group_name_Hall '-R 3 2"'
loop_
_atom_site_label
_atom_site_fract_x
_atom_site_fract_y
_atom_site_fract_z
_atom_site_occupancy
Nd1 0.0000 0.0000 0.0000 1
Y1 0.0000 0.0000 0.2429 1
Mg1 0.0000 0.0000 0.5000 1
Au1 0.0000 0.0000 0.1233 1
Au2 0.0000 0.0000 0.3838 1
```



# 2
Calculated powder diffractogram
Compound: MgNiAu
Radiation: copper Kα
Structure: a PBE-relaxed structure

Peak list (12 most intense, 2θ from 15° to 90°, most intense first)
hkl 1 1 0, d = 2.308 Å, 39.0 deg, intensity 100.0
hkl 0 1 3, d = 2.245 Å, 40.2 deg, intensity 92.0
hkl 0 1 1, d = 3.373 Å, 26.4 deg, intensity 79.5
hkl 1 0 3, d = 2.050 Å, 44.2 deg, intensity 70.1
hkl 0 0 2, d = 4.254 Å, 20.9 deg, intensity 68.8
hkl 1 0 1, d = 2.801 Å, 32.0 deg, intensity 49.7
hkl 1 1 2, d = 2.029 Å, 44.7 deg, intensity 40.8
hkl 1 2 3, d = 1.368 Å, 68.6 deg, intensity 37.3
hkl 2 1 3, d = 1.237 Å, 77.1 deg, intensity 26.9
hkl 0 2 0, d = 1.837 Å, 49.6 deg, intensity 25.0
hkl 1 1 6, d = 1.208 Å, 79.3 deg, intensity 24.8
hkl 1 1 4, d = 1.564 Å, 59.1 deg, intensity 18.3

Structural model:
```
data_MgNiAu
_chemical_formula_sum 'Mg2 Ni2 Au2'
_cell_length_a 2.966
_cell_length_b 3.675
_cell_length_c 8.507
_cell_angle_alpha 90.00
_cell_angle_beta 90.00
_cell_angle_gamma 90.00
_space_group_name_H-M_alt 'I m m 2'
_space_group_IT_number 44
loop_
_space_group_symop_operation_xyz
'x,y,z'
'-x,-y,z'
'-x,y,z'
'x,-y,z'
'x+1/2,y+1/2,z+1/2'
'-x+1/2,-y+1/2,z+1/2'
'-x+1/2,y+1/2,z+1/2'
'x+1/2,-y+1/2,z+1/2'
loop_
_atom_site_label
_atom_site_fract_x
_atom_site_fract_y
_atom_site_fract_z
_atom_site_occupancy
Mg1 0.000 0.000 0.000 1
Ni1 0.000 0.000 0.661 1
Au1 0.000 0.000 0.325 1
```



# 3
Calculated powder diffractogram
Compound: MgNp2Au6
Radiation: copper Kα
Structure: a PBE-relaxed structure

Peak list (12 most intense, 2θ from 15° to 90°, most intense first)
hkl 6 0 0, d = 2.437 Å, 36.9 deg, intensity 100.0
hkl 3 1 1, d = 2.429 Å, 37.0 deg, intensity 82.8
hkl 9 3 0, d = 1.406 Å, 66.5 deg, intensity 38.6
hkl 0 4 1, d = 1.720 Å, 53.2 deg, intensity 29.6
hkl 3 3 2, d = 1.268 Å, 74.9 deg, intensity 26.4
hkl 3 3 1, d = 1.884 Å, 48.3 deg, intensity 16.3
hkl 12 0 0, d = 1.218 Å, 78.5 deg, intensity 11.6
hkl 6 4 1, d = 1.405 Å, 66.6 deg, intensity 10.2
hkl 0 0 1, d = 2.971 Å, 30.1 deg, intensity 10.0
hkl 0 0 2, d = 1.486 Å, 62.5 deg, intensity 7.4
hkl 4 0 0, d = 3.655 Å, 24.4 deg, intensity 6.0
hkl 2 0 1, d = 2.752 Å, 32.5 deg, intensity 5.0

Structural model:
```
data_MgNp2Au6
_chemical_formula_sum 'Mg2 Np4 Au12'
_cell_length_a 14.617
_cell_length_b 8.443
_cell_length_c 2.971
_cell_angle_alpha 90.00
_cell_angle_beta 90.07
_cell_angle_gamma 90.00
_space_group_name_H-M_alt 'C 1 2/m 1'
_space_group_IT_number 12
loop_
_space_group_symop_operation_xyz
'x,y,z'
'-x,-y,-z'
'-x,y,-z'
'x,-y,z'
'x+1/2,y+1/2,z'
'-x+1/2,-y+1/2,-z'
'-x+1/2,y+1/2,-z'
'x+1/2,-y+1/2,z'
loop_
_atom_site_label
_atom_site_fract_x
_atom_site_fract_y
_atom_site_fract_z
_atom_site_occupancy
Mg1 0.000 0.000 0.000 1
Np1 0.167 0.500 0.000 1
Au1 0.000 0.329 0.500 1
Au2 0.164 0.164 0.499 1
```



# 4
Calculated powder diffractogram
Compound: Mg4NpAu5
Radiation: copper Kα
Structure: a PBE-relaxed structure

Peak list (12 most intense, 2θ from 15° to 90°, most intense first)
hkl 1 0 5, d = 2.394 Å, 37.6 deg, intensity 100.0
hkl 1 1 0, d = 2.339 Å, 38.5 deg, intensity 57.8
hkl 1 0 0, d = 3.308 Å, 27.0 deg, intensity 35.4
hkl 2 1 5, d = 1.361 Å, 69.0 deg, intensity 34.4
hkl 2 0 0, d = 1.654 Å, 55.6 deg, intensity 20.1
hkl 1 0 4, d = 2.630 Å, 34.1 deg, intensity 15.7
hkl 0 0 5, d = 3.470 Å, 25.7 deg, intensity 13.4
hkl 1 0 11, d = 1.424 Å, 65.6 deg, intensity 12.5
hkl 1 1 6, d = 1.819 Å, 50.2 deg, intensity 11.5
hkl 1 0 3, d = 2.871 Å, 31.1 deg, intensity 11.5
hkl 1 1 5, d = 1.939 Å, 46.8 deg, intensity 11.2
hkl 1 0 1, d = 3.249 Å, 27.5 deg, intensity 10.8

Structural model:
```
data_Mg4NpAu5
_chemical_formula_sum 'Mg4 Np1 Au5'
_cell_length_a 3.308
_cell_length_b 3.308
_cell_length_c 17.351
_cell_angle_alpha 90.00
_cell_angle_beta 90.00
_cell_angle_gamma 90.00
_space_group_name_H-M_alt 'P 4/m m m'
_space_group_IT_number 123
_space_group_name_Hall '-P 4 2'
loop_
_atom_site_label
_atom_site_fract_x
_atom_site_fract_y
_atom_site_fract_z
_atom_site_occupancy
Mg1 0.000 0.000 0.095 1
Mg2 0.000 0.000 0.283 1
Np1 0.000 0.000 0.500 1
Au1 0.500 0.500 0.000 1
Au2 0.500 0.500 0.189 1
Au3 0.500 0.500 0.377 1
```